Record 1
Calculated PXRD pattern of Pm2BiRh for Cu Ka, from a crystal structure in Alexandria, relaxed with GGA-PBE.
Kinematic intensities with the Lorentz-polarization factor, no thermal factor.

Most intense lines, 5 to 70 degrees two-theta, by angle:
- 3.206 Å, rel. 38
- 3.112 Å, rel. 51
- 3.099 Å, rel. 55
- 3.077 Å, rel. 90
- 2.999 Å, rel. 100
- 2.805 Å, rel. 62
- 2.617 Å, rel. 53
- 2.453 Å, rel. 42
- 2.421 Å, rel. 45
- 2.392 Å, rel. 62
- 2.235 Å, rel. 100
- 2.169 Å, rel. 31

Structural model:
```
data_Pm2BiRh
_symmetry_space_group_name_H-M 'P 1'
_symmetry_Int_Tables_number 1
_symmetry_space_group_name_Hall 'P 1'
_cell_length_a 6.4242
_cell_length_b 6.2244
_cell_length_c 11.6314
_cell_angle_alpha 90.00
_cell_angle_beta 105.27
_cell_angle_gamma 90.00
loop_
_atom_site_label
_atom_site_type_symbol
_atom_site_fract_x
_atom_site_fract_y
_atom_site_fract_z
Pm1 Pm 0.1740 0.1653 0.1196
Pm2 Pm 0.1740 0.8347 0.6196
Pm3 Pm 0.2774 0.3338 0.8336
Pm4 Pm 0.2774 0.6662 0.3336
Pm5 Pm 0.7226 0.3338 0.6664
Pm6 Pm 0.7226 0.6662 0.1664
Pm7 Pm 0.8260 0.1653 0.3804
Pm8 Pm 0.8260 0.8347 0.8804
Bi1 Bi 0.3344 0.1772 0.4108
Bi2 Bi 0.3344 0.8228 0.9108
Bi3 Bi 0.6656 0.1772 0.0892
Bi4 Bi 0.6656 0.8228 0.5892
Rh1 Rh 0.1325 0.3363 0.5854
Rh2 Rh 0.1325 0.6637 0.0854
Rh3 Rh 0.8675 0.3363 0.9146
Rh4 Rh 0.8675 0.6637 0.4146
```

***

Record 2
Calculated PXRD pattern of Pm2BiSb3Rh4 for Cu Ka, from a crystal structure in Alexandria, relaxed with GGA-PBE.
Kinematic intensities with the Lorentz-polarization factor, no thermal factor.

Most intense lines, 5 to 70 degrees two-theta, by angle:
- 5.402 Å, rel. 8
- 2.817 Å, rel. 45
- 2.752 Å, rel. 100
- 2.261 Å, rel. 63
- 2.063 Å, rel. 29
- 1.950 Å, rel. 21
- 1.763 Å, rel. 22
- 1.599 Å, rel. 21
- 1.569 Å, rel. 11
- 1.477 Å, rel. 17
- 1.390 Å, rel. 5
- 1.382 Å, rel. 24

Structural model:
```
data_Pm2BiSb3Rh4
_symmetry_space_group_name_H-M 'P 1'
_symmetry_Int_Tables_number 1
_symmetry_space_group_name_Hall 'P 1'
_cell_length_a 4.5220
_cell_length_b 4.5220
_cell_length_c 10.8049
_cell_angle_alpha 90.00
_cell_angle_beta 90.00
_cell_angle_gamma 90.00
loop_
_atom_site_label
_atom_site_type_symbol
_atom_site_fract_x
_atom_site_fract_y
_atom_site_fract_z
Pm1 Pm 0.0000 0.5000 0.2359
Pm2 Pm 0.5000 0.0000 0.7641
Bi1 Bi 0.0000 0.0000 0.5000
Sb1 Sb 0.0000 0.5000 0.8707
Sb2 Sb 0.5000 0.0000 0.1293
Sb3 Sb 0.5000 0.5000 0.5000
Rh1 Rh 0.0000 0.0000 0.0000
Rh2 Rh 0.0000 0.5000 0.6354
Rh3 Rh 0.5000 0.0000 0.3646
Rh4 Rh 0.5000 0.5000 0.0000
```

***

Record 3
Calculated PXRD pattern of Pm2Bi2S7 for Cu Ka, from a crystal structure in Alexandria, relaxed with GGA-PBE.
Kinematic intensities with the Lorentz-polarization factor, no thermal factor.

Most intense lines, 5 to 70 degrees two-theta, by angle:
- 3.814 Å, rel. 93
- 3.640 Å, rel. 44
- 3.613 Å, rel. 62
- 3.237 Å, rel. 45
- 2.564 Å, rel. 100
- 2.263 Å, rel. 78
- 2.133 Å, rel. 32
- 1.975 Å, rel. 20
- 1.753 Å, rel. 23
- 1.700 Å, rel. 23
- 1.488 Å, rel. 19
- 1.450 Å, rel. 29

Structural model:
```
data_Pm2Bi2S7
_symmetry_space_group_name_H-M 'P 1'
_symmetry_Int_Tables_number 1
_symmetry_space_group_name_Hall 'P 1'
_cell_length_a 8.7714
_cell_length_b 8.7714
_cell_length_c 8.7714
_cell_angle_alpha 153.98
_cell_angle_beta 67.82
_cell_angle_gamma 118.61
loop_
_atom_site_label
_atom_site_type_symbol
_atom_site_fract_x
_atom_site_fract_y
_atom_site_fract_z
Pm1 Pm 0.0000 0.0000 0.0000
Pm2 Pm 0.5440 0.0440 0.5000
Bi1 Bi 0.4556 0.2088 0.2467
Bi2 Bi 0.9621 0.2088 0.7533
S1 S 0.1822 0.5452 0.6370
S2 S 0.2419 0.9192 0.3227
S3 S 0.3243 0.3243 0.0000
S4 S 0.5965 0.9192 0.6773
S5 S 0.6148 0.7215 0.8933
S6 S 0.8281 0.7215 0.1067
S7 S 0.9081 0.5452 0.3630
```

***

Record 4
Calculated PXRD pattern of Pm7Bi2Sb2 for Cu Ka, from a crystal structure in Alexandria, relaxed with GGA-PBE.
Kinematic intensities with the Lorentz-polarization factor, no thermal factor.

Most intense lines, 5 to 70 degrees two-theta, by angle:
- 4.419 Å, rel. 25
- 3.974 Å, rel. 57
- 3.690 Å, rel. 19
- 3.154 Å, rel. 35
- 2.855 Å, rel. 58
- 2.834 Å, rel. 24
- 2.535 Å, rel. 100
- 2.486 Å, rel. 28
- 2.418 Å, rel. 25
- 2.319 Å, rel. 25
- 1.845 Å, rel. 21
- 1.579 Å, rel. 23

Structural model:
```
data_Pm7Bi2Sb2
_symmetry_space_group_name_H-M 'P 1'
_symmetry_Int_Tables_number 1
_symmetry_space_group_name_Hall 'P 1'
_cell_length_a 7.4827
_cell_length_b 7.4827
_cell_length_c 6.9768
_cell_angle_alpha 90.00
_cell_angle_beta 90.00
_cell_angle_gamma 99.49
loop_
_atom_site_label
_atom_site_type_symbol
_atom_site_fract_x
_atom_site_fract_y
_atom_site_fract_z
Pm1 Pm 0.0000 0.0000 0.0000
Pm2 Pm 0.0000 0.5000 0.2673
Pm3 Pm 0.0000 0.5000 0.7327
Pm4 Pm 0.5000 0.0000 0.2673
Pm5 Pm 0.5000 0.0000 0.7327
Pm6 Pm 0.5000 0.5000 0.2564
Pm7 Pm 0.5000 0.5000 0.7436
Bi1 Bi 0.1951 0.1951 0.5000
Bi2 Bi 0.8049 0.8049 0.5000
Sb1 Sb 0.2744 0.7256 0.0000
Sb2 Sb 0.7256 0.2744 0.0000
```